Li4Mn3O7: theoretical XRD peak list (a wavelength of 1.5418 Å), based on the PBE+U geometry in the Materials Project.

Top 10 peaks for 2θ = 10–90°, in order of rising 2θ:
| d_spacing | I (rel.) |
| --- | --- |
| 4.849 | 100 |
| 2.640 | 17 |
| 2.477 | 24 |
| 2.215 | 35 |
| 2.053 | 28 |
| 2.037 | 27 |
| 1.507 | 16 |
| 1.504 | 8 |
| 1.491 | 8 |
| 1.438 | 8 |

Structural model:
Cell: 6.048 6.468 7.658 Å, 103.77 109.60 102.46°
Fractional coordinates of all 28 atoms:
Li1 0.000 0.000 0.000
Li2 0.077 0.590 0.865
Li3 0.234 0.725 0.587
Li4 0.358 0.862 0.288
Li5 0.500 0.000 0.000
Li6 0.642 0.138 0.712
Li7 0.766 0.275 0.413
Li8 0.923 0.410 0.135
Mn1 0.151 0.140 0.719
Mn2 0.278 0.280 0.420
Mn3 0.418 0.423 0.138
Mn4 0.582 0.577 0.862
Mn5 0.722 0.720 0.580
Mn6 0.849 0.860 0.281
O1 0.084 0.293 0.938
O2 0.109 0.869 0.776
O3 0.228 0.426 0.656
O4 0.253 0.015 0.504
O5 0.310 0.546 0.338
O6 0.396 0.164 0.221
O7 0.455 0.690 0.057
O8 0.545 0.310 0.943
O9 0.604 0.836 0.779
O10 0.690 0.454 0.662
O11 0.747 0.985 0.496
O12 0.772 0.574 0.344
O13 0.891 0.131 0.224
O14 0.916 0.707 0.062

=====

Li7Mn10O24: theoretical XRD peak list (a wavelength of 1.5418 Å), based on the PBE+U geometry in the Materials Project.

Top 10 peaks for 2θ = 10–90°, in order of rising 2θ:
| d_spacing | I (rel.) |
| --- | --- |
| 5.686 | 9 |
| 4.770 | 100 |
| 2.492 | 18 |
| 2.487 | 24 |
| 2.064 | 56 |
| 1.893 | 6 |
| 1.591 | 9 |
| 1.588 | 11 |
| 1.459 | 21 |
| 1.394 | 6 |

Structural model:
Cell: 5.836 5.836 13.043 Å, 102.73 102.73 89.91°
Fractional coordinates of all 41 atoms:
Li1 0.000 0.000 0.000
Li2 0.122 0.877 0.251
Li3 0.123 0.878 0.749
Li4 0.336 0.338 0.667
Li5 0.580 0.096 0.170
Li6 0.662 0.664 0.333
Li7 0.904 0.420 0.830
Mn1 0.121 0.379 0.252
Mn2 0.284 0.549 0.085
Mn3 0.451 0.210 0.914
Mn4 0.451 0.212 0.416
Mn5 0.451 0.716 0.915
Mn6 0.621 0.879 0.748
Mn7 0.788 0.549 0.584
Mn8 0.790 0.549 0.086
Mn9 0.791 0.042 0.585
Mn10 0.958 0.209 0.415
O1 0.007 0.293 0.576
O2 0.035 0.757 0.081
O3 0.042 0.326 0.091
O4 0.197 0.430 0.407
O5 0.204 0.004 0.418
O6 0.236 0.468 0.924
O7 0.243 0.965 0.919
O8 0.346 0.606 0.235
O9 0.358 0.154 0.263
O10 0.394 0.654 0.765
O11 0.395 0.118 0.763
O12 0.532 0.320 0.073
O13 0.532 0.764 0.076
O14 0.559 0.290 0.573
O15 0.570 0.803 0.593
O16 0.674 0.958 0.909
O17 0.680 0.468 0.927
O18 0.707 0.993 0.424
O19 0.710 0.441 0.427
O20 0.846 0.642 0.737
O21 0.848 0.103 0.737
O22 0.882 0.605 0.237
O23 0.897 0.152 0.263
O24 0.996 0.796 0.582

=====

Li4Mn3O7: theoretical XRD peak list (a wavelength of 1.5418 Å), based on the PBE+U geometry in the Materials Project.

Top 10 peaks for 2θ = 10–90°, in order of rising 2θ:
| d_spacing | I (rel.) |
| --- | --- |
| 4.833 | 100 |
| 2.635 | 18 |
| 2.475 | 23 |
| 2.203 | 34 |
| 2.045 | 54 |
| 1.931 | 9 |
| 1.505 | 16 |
| 1.492 | 16 |
| 1.456 | 7 |
| 1.436 | 7 |

Structural model:
Cell: 5.310 6.506 7.778 Å, 87.02 74.61 84.69°
Fractional coordinates of all 28 atoms:
Li1 0.000 0.000 0.000
Li2 0.077 0.854 0.354
Li3 0.218 0.570 0.074
Li4 0.350 0.275 0.792
Li5 0.500 0.000 0.500
Li6 0.650 0.725 0.208
Li7 0.782 0.430 0.926
Li8 0.923 0.146 0.646
Mn1 0.141 0.716 0.718
Mn2 0.286 0.427 0.430
Mn3 0.429 0.142 0.142
Mn4 0.571 0.858 0.858
Mn5 0.714 0.573 0.570
Mn6 0.859 0.284 0.282
O1 0.058 0.433 0.673
O2 0.128 0.272 0.058
O3 0.199 0.150 0.384
O4 0.277 0.972 0.760
O5 0.348 0.868 0.099
O6 0.369 0.702 0.472
O7 0.484 0.585 0.816
O8 0.516 0.415 0.184
O9 0.631 0.298 0.528
O10 0.652 0.132 0.901
O11 0.723 0.028 0.240
O12 0.801 0.850 0.616
O13 0.872 0.728 0.942
O14 0.942 0.567 0.327